Starting from a crystal structure in OQMD, relaxed with GGA-PBE, the XRD peak list of Ta4BTe8 was calculated for copper Kα.

Atomic structure:
```
26
Lattice="11.696 0.000 0.000 0.000 16.932 0.000 0.000 0.000 3.605" Properties=species:S:1:pos:R:3 pbc="T T T"
Ta 0.857 1.201 0.000
Ta 1.809 15.640 1.803
Ta 4.039 7.173 1.803
Ta 4.991 9.668 0.000
Ta 6.705 7.265 0.000
Ta 7.657 9.759 1.803
Ta 9.887 1.293 1.803
Ta 10.839 15.731 0.000
B 0.000 0.000 1.803
B 5.848 8.466 1.803
Te 0.999 13.665 0.000
Te 1.538 5.570 1.803
Te 2.373 8.548 0.000
Te 2.385 2.887 1.803
Te 3.463 11.353 1.803
Te 3.475 0.082 0.000
Te 4.310 14.036 1.803
Te 4.849 5.199 0.000
Te 6.847 11.733 0.000
Te 7.386 2.897 1.803
Te 8.221 16.851 0.000
Te 8.233 5.579 1.803
Te 9.311 14.046 1.803
Te 9.323 8.384 0.000
Te 10.158 11.363 1.803
Te 10.697 3.267 0.000
```

Top 8 peaks for 10° ≤ 2θ ≤ 90°, low angle first:
| Position (°2θ) | intensity |
| --- | --- |
| 31.2 | 68 |
| 33.2 | 100 |
| 33.5 | 75 |
| 34.3 | 52 |
| 34.5 | 43 |
| 39.6 | 75 |
| 46.6 | 45 |
| 50.6 | 46 |